Diffraction record for La6WO12. The powder XRD pattern is computed, not measured: it uses a cell relaxed with GGA+U and Cu Kα (λ = 1.5418 Å).

Most intense lines, 2θ from 10° to 90°, in order of rising 2θ:
Position (°2θ)  d (Å)  I (rel.)
26.8  3.325  33
27.8  3.211  100
31.9  2.804  47
45.1  2.009  30
46.4  1.958  28
53.3  1.720  13
54.4  1.687  26
54.9  1.672  13

Crystal structure
abc: 6.8437 6.8437 6.8437
angles: 98.39 98.39 98.39
Positions (direct):
1 La 0.1067 0.8051 0.6430
2 La 0.1949 0.3570 0.8933
3 La 0.3570 0.8933 0.1949
4 La 0.6430 0.1067 0.8051
5 La 0.8051 0.6430 0.1067
6 La 0.8933 0.1949 0.3570
7 W 0.5000 0.5000 0.5000
8 O 0.0598 0.9052 0.3231
9 O 0.0948 0.6769 0.9402
10 O 0.2159 0.4314 0.5307
11 O 0.3231 0.0598 0.9052
12 O 0.4314 0.5307 0.2159
13 O 0.4693 0.7841 0.5686
14 O 0.5307 0.2159 0.4314
15 O 0.5686 0.4693 0.7841
16 O 0.6769 0.9402 0.0948
17 O 0.7841 0.5686 0.4693
18 O 0.9052 0.3231 0.0598
19 O 0.9402 0.0948 0.6769